No. 1
Structure and simulated powder X-ray diffraction pattern of CsCdBH6 (a cell relaxed with GGA-PBE; Cu Kα X-rays).
Neutral-atom scattering factors, no anomalous dispersion.

Lattice parameters (Å, degrees): 5.2178 5.2412 5.8422 89.69 89.94 60.19
Space group P1 (No. 1)
Unique sites:
Cs (0.0000, 0.0000, 0.0000) (multiplicity 1)
Cd (0.6674, 0.6644, 0.4835) (multiplicity 1)
B (0.3349, 0.3293, 0.4008) (multiplicity 1)
H (0.2060, 0.2006, 0.4744) (multiplicity 1)
H (0.2072, 0.5844, 0.4754) (multiplicity 1)
H (0.3339, 0.3318, 0.1911) (multiplicity 1)
H (0.5923, 0.2009, 0.4742) (multiplicity 1)
H (0.6669, 0.6663, 0.1886) (multiplicity 1)
H (0.6683, 0.6629, 0.7786) (multiplicity 1)

Most intense lines, 2θ = 10–90°, in order of falling intensity:
(hkl), two_theta, Rel. int.
0 1 -1, 24.88, 100
1 2 0, 34.21, 26
0 1 1, 24.74, 20
1 0 0, 19.56, 19
1 2 -2, 46.67, 19
0 0 2, 30.61, 16
2 2 1, 42.79, 14
2 1 0, 34.37, 13
1 1 0, 19.62, 10
1 2 2, 46.43, 10



No. 2
Structure and simulated powder X-ray diffraction pattern of Cs2CdBI6 (a cell relaxed with GGA-PBE; Cu Kα X-rays).
Neutral-atom scattering factors, no anomalous dispersion.

Lattice parameters (Å, degrees): 8.1194 8.1194 11.6444 90.00 90.00 90.00
Space group I4/mmm (No. 139)
Unique sites:
Cs (0.0000, 0.5000, 0.2500) (multiplicity 4)
Cd (0.0000, 0.0000, 0.0000) (multiplicity 2)
B (0.0000, 0.0000, 0.5000) (multiplicity 2)
I (0.0000, 0.0000, 0.2592) (multiplicity 4)
I (0.2323, 0.2323, 0.5000) (multiplicity 8)

Most intense lines, 2θ = 10–90°, in order of falling intensity:
(hkl), two_theta, Rel. int.
2 0 2, 26.77, 100
2 2 0, 31.16, 54
2 2 4, 44.32, 40
0 0 4, 30.71, 29
4 2 2, 52.82, 27
4 0 4, 55.16, 20
4 0 0, 44.64, 19
2 0 6, 52.24, 15
6 2 4, 82.04, 11
4 2 6, 71.11, 11



No. 3
Structure and simulated powder X-ray diffraction pattern of Cs3CdB2S6 (a cell relaxed with GGA-PBE; Cu Kα X-rays).
Neutral-atom scattering factors, no anomalous dispersion.

Lattice parameters (Å, degrees): 6.9477 6.9477 9.2687 90.00 90.00 120.00
Space group P-3m1 (No. 164)
Unique sites:
Cs (0.0000, 0.0000, 0.0000) (multiplicity 1)
Cs (0.3333, 0.6667, 0.6732) (multiplicity 2)
Cd (0.0000, 0.0000, 0.5000) (multiplicity 1)
B (0.3333, 0.6667, 0.3121) (multiplicity 2)
S (0.1815, 0.3631, 0.3030) (multiplicity 6)

Most intense lines, 2θ = 10–90°, in order of falling intensity:
(hkl), two_theta, Rel. int.
0 1 2, 24.24, 100
1 1 0, 25.64, 79
2 0 2, 35.58, 75
0 2 1, 31.26, 59
1 0 1, 17.57, 33
1 2 2, 44.37, 32
2 2 0, 52.70, 24
0 2 4, 49.66, 23
1 0 4, 41.77, 21
2 1 4, 56.72, 20



No. 4
Structure and simulated powder X-ray diffraction pattern of CdCu2B2O6 (a cell relaxed with GGA-PBE; Cu Kα X-rays).
Neutral-atom scattering factors, no anomalous dispersion.

Lattice parameters (Å, degrees): 3.5655 15.2397 9.5282 90.00 95.58 90.00
Space group P2_1/c (No. 14)
Unique sites:
Cd (0.2120, 0.1311, 0.3843) (multiplicity 4)
Cu (0.3200, 0.5399, 0.3658) (multiplicity 4)
Cu (0.3214, 0.7470, 0.8668) (multiplicity 4)
B (0.1037, 0.5891, 0.8165) (multiplicity 4)
B (0.2164, 0.1529, 0.9163) (multiplicity 4)
O (0.0046, 0.1574, 0.7821) (multiplicity 4)
O (0.0344, 0.5037, 0.7901) (multiplicity 4)
O (0.2700, 0.2305, 0.9868) (multiplicity 4)
O (0.2802, 0.6249, 0.9386) (multiplicity 4)
O (0.3201, 0.6489, 0.2647) (multiplicity 4)
O (0.3505, 0.0739, 0.9647) (multiplicity 4)

Most intense lines, 2θ = 10–90°, in order of falling intensity:
(hkl), two_theta, Rel. int.
1 0 -2, 29.95, 100
0 5 2, 35.00, 74
0 2 1, 14.91, 64
1 0 2, 32.96, 56
0 3 1, 19.83, 54
1 1 -2, 30.56, 38
1 5 0, 38.95, 33
1 5 4, 57.40, 27
0 3 2, 25.70, 23
1 5 -4, 53.58, 21



No. 5
Structure and simulated powder X-ray diffraction pattern of CdCuBPt2 (a cell relaxed with GGA-PBE; Cu Kα X-rays).
Neutral-atom scattering factors, no anomalous dispersion.

Lattice parameters (Å, degrees): 4.2151 4.2151 4.1388 90.00 90.00 90.00
Space group P4/mmm (No. 123)
Unique sites:
Cd (0.0000, 0.0000, 0.0000) (multiplicity 1)
Cu (0.5000, 0.5000, 0.0000) (multiplicity 1)
B (0.5000, 0.5000, 0.5000) (multiplicity 1)
Pt (0.0000, 0.5000, 0.5000) (multiplicity 2)

Most intense lines, 2θ = 10–90°, in order of falling intensity:
(hkl), two_theta, Rel. int.
1 1 1, 37.17, 100
2 0 0, 42.91, 35
3 1 1, 74.84, 26
2 0 2, 62.95, 22
0 0 2, 43.74, 17
0 0 1, 21.47, 14
1 1 3, 76.01, 12
2 2 2, 79.21, 12
2 2 0, 62.30, 12
1 1 0, 29.98, 10



No. 6
Structure and simulated powder X-ray diffraction pattern of CdCu2BSe4 (a cell relaxed with GGA-PBE; Cu Kα X-rays).
Neutral-atom scattering factors, no anomalous dispersion.

Lattice parameters (Å, degrees): 5.6402 5.6402 10.4733 90.00 90.00 90.00
Space group I-42m (No. 121)
Unique sites:
Cd (0.0000, 0.0000, 0.0000) (multiplicity 2)
Cu (0.0000, 0.5000, 0.2500) (multiplicity 4)
B (0.0000, 0.0000, 0.5000) (multiplicity 2)
Se (0.2060, 0.2060, 0.3765) (multiplicity 8)

Most intense lines, 2θ = 10–90°, in order of falling intensity:
(hkl), two_theta, Rel. int.
1 1 2, 28.12, 100
2 0 4, 47.38, 42
2 1 1, 36.65, 24
3 1 2, 54.34, 21
2 2 0, 45.49, 20
1 0 3, 30.10, 15
1 1 6, 57.65, 12
3 0 1, 49.24, 10
3 1 6, 76.33, 8
4 2 4, 85.45, 7